[1]
The following is a theoretical powder diffraction line list of Pr3Tm3Mn23. It was derived from a cell relaxed with PBE, using Cu Kα X-rays.
Kinematic intensities with the Lorentz-polarization factor, no thermal factor.

Largest 10 diffraction maxima, most intense first, 5° ≤ 2θ ≤ 70°:
hkl	2θ (°)	I (rel.)
2 0 8	41.61	1000
0 0 9	38.06	557
3 0 3	38.11	505
2 1 1	31.77	306
0 0 6	25.13	294
0 1 8	35.82	272
0 2 4	29.09	215
0 3 12	64.36	201
0 3 6	44.27	190
3 2 7	61.89	177

Crystal structure
abc: 8.6724 8.6724 21.3083
angles: 90.00 90.00 120.00
Space group R3m (No. 160, hexagonal axes)
Asymmetric unit:
Pr 0.1992 0.3983 0.0000 (multiplicity 9)
Tm 0.0578 0.5289 0.1366 (multiplicity 9)
Mn 0.0000 0.0000 0.0213 (multiplicity 3)
Mn 0.0000 0.0000 0.2223 (multiplicity 3)
Mn 0.0000 0.0000 0.5772 (multiplicity 3)
Mn 0.0000 0.0000 0.7792 (multiplicity 3)
Mn 0.0000 0.0000 0.8980 (multiplicity 3)
Mn 0.0047 0.5024 0.4027 (multiplicity 9)
Mn 0.0125 0.5062 0.5254 (multiplicity 9)
Mn 0.0978 0.1956 0.1264 (multiplicity 9)
Mn 0.1701 0.3402 0.2303 (multiplicity 9)
Mn 0.1716 0.3432 0.6063 (multiplicity 9)
Mn 0.1934 0.0967 0.6754 (multiplicity 9)

---

[2]
The following is a theoretical powder diffraction line list of Zr3TaMn8. It was derived from a cell relaxed with PBE, using Cu Kα X-rays.
Kinematic intensities with the Lorentz-polarization factor, no thermal factor.

Largest 10 diffraction maxima, most intense first, 5° ≤ 2θ ≤ 70°:
hkl	2θ (°)	I (rel.)
2 0 2	42.96	1000
1 1 0	36.39	557
3 0 0	65.49	195
0 2 4	44.97	195
0 1 2	22.05	81
2 0 14	69.99	72
0 0 3	10.97	63
1 0 1	21.11	37
1 0 4	25.51	23
0 2 10	57.54	22

Crystal structure
abc: 4.9357 4.9357 24.2033
angles: 90.00 90.00 120.00
Space group R3m (No. 160, hexagonal axes)
Asymmetric unit:
Zr 0.0000 0.0000 0.0000 (multiplicity 3)
Zr 0.0000 0.0000 0.1257 (multiplicity 3)
Zr 0.0000 0.0000 0.6243 (multiplicity 3)
Ta 0.0000 0.0000 0.5000 (multiplicity 3)
Mn 0.0000 0.0000 0.3125 (multiplicity 3)
Mn 0.0000 0.0000 0.8127 (multiplicity 3)
Mn 0.0020 0.5010 0.0639 (multiplicity 9)
Mn 0.1671 0.3343 0.8945 (multiplicity 9)